Structure and calculated powder diffractogram of Zn3H2O4 (a PBE-relaxed structure; a wavelength of 1.5418 Å).

Top 10 peaks for 2θ = 15–90°, most intense first:
hkl  2theta  d_spacing  I/Imax
1 1 2  26.76  3.331  100
1 0 3  28.89  3.091  74
2 1 2  37.54  2.396  71
3 1 0  48.17  1.889  56
1 0 2  22.15  4.013  50
1 0 4  36.42  2.467  48
0 0 2  16.36  5.418  43
2 1 1  34.58  2.594  36
2 0 2  34.28  2.616  35
3 0 4  57.43  1.604  34

Crystal structure
```
Zn3H2O4
1.0
5.974 0.000 0.000
0.000 5.974 0.000
0.000 0.000 10.836
Zn H O
12 8 16
direct
0.000 0.000 0.172 Zn
0.000 0.000 0.828 Zn
0.133 0.318 0.550 Zn
0.182 0.367 0.050 Zn
0.318 0.867 0.450 Zn
0.367 0.818 0.950 Zn
0.500 0.500 0.328 Zn
0.500 0.500 0.672 Zn
0.633 0.182 0.950 Zn
0.682 0.133 0.450 Zn
0.818 0.633 0.050 Zn
0.867 0.682 0.550 Zn
0.193 0.726 0.715 H
0.226 0.693 0.215 H
0.274 0.193 0.285 H
0.307 0.226 0.785 H
0.693 0.774 0.785 H
0.726 0.807 0.285 H
0.774 0.307 0.215 H
0.807 0.274 0.715 H
0.165 0.693 0.071 O
0.167 0.740 0.808 O
0.193 0.665 0.571 O
0.240 0.667 0.308 O
0.260 0.167 0.192 O
0.307 0.165 0.929 O
0.333 0.240 0.692 O
0.335 0.193 0.429 O
0.665 0.807 0.429 O
0.667 0.760 0.692 O
0.693 0.835 0.929 O
0.740 0.833 0.192 O
0.760 0.333 0.308 O
0.807 0.335 0.571 O
0.833 0.260 0.808 O
0.835 0.307 0.071 O
```